Starting from a cell relaxed with PBE, the X-ray diffraction stick pattern of Tb5Pm4Er4 was simulated for Cu Kα, 1.54184 Å.

Most intense lines, 15° ≤ 2θ ≤ 90°, in order of rising 2θ:
2theta	d/Å	I_rel
30.66	2.916	100
35.51	2.528	34
35.64	2.519	17
51.09	1.788	12
51.19	1.784	24
60.77	1.524	29
60.95	1.520	14
63.85	1.458	12

Atomic structure:
a = 9.4576 Å, b = 9.4576 Å, c = 9.4576 Å
α = 94.07°, β = 94.07°, γ = 149.11°
Element x y z (fractional)
1 Tb 0.0000 0.0000 0.0000
2 Tb 0.3095 0.4605 0.7700
3 Tb 0.4605 0.6905 0.1509
4 Tb 0.5395 0.3095 0.8491
5 Tb 0.6905 0.5395 0.2300
6 Pm 0.0778 0.6173 0.6951
7 Pm 0.3827 0.0778 0.4605
8 Pm 0.6173 0.9222 0.5395
9 Pm 0.9222 0.3827 0.3049
10 Er 0.1536 0.2303 0.3839
11 Er 0.2303 0.8464 0.0766
12 Er 0.7697 0.1536 0.9234
13 Er 0.8464 0.7697 0.6161

---

Starting from a cell relaxed with PBE, the X-ray diffraction stick pattern of MgAg5 was simulated for Cu Kα, 1.54184 Å.

Most intense lines, 15° ≤ 2θ ≤ 90°, in order of rising 2θ:
2theta	d/Å	I_rel
37.49	2.399	100
42.44	2.130	17
43.60	2.076	16
44.64	2.030	15
62.48	1.487	11
74.37	1.276	12
76.00	1.252	12
77.49	1.232	11

Atomic structure:
a = 6.7184 Å, b = 6.7184 Å, c = 4.0601 Å
α = 90.00°, β = 90.00°, γ = 144.00°
Element x y z (fractional)
1 Mg 0.0000 0.0000 0.0000
2 Ag 0.1661 0.8339 0.5000
3 Ag 0.3343 0.6657 0.0000
4 Ag 0.5000 0.5000 0.5000
5 Ag 0.6657 0.3343 0.0000
6 Ag 0.8339 0.1661 0.5000

---

Starting from a cell relaxed with PBE, the X-ray diffraction stick pattern of La4NdY5 was simulated for Cu Kα, 1.54184 Å.

Most intense lines, 15° ≤ 2θ ≤ 90°, in order of rising 2θ:
2theta	d/Å	I_rel
27.82	3.207	24
29.06	3.073	100
30.25	2.955	51
31.12	2.874	41
35.41	2.535	49
36.66	2.451	17
50.94	1.793	15
52.45	1.745	34

Atomic structure:
a = 10.7567 Å, b = 10.7567 Å, c = 5.9639 Å
α = 90.00°, β = 90.00°, γ = 90.00°
Element x y z (fractional)
1 La 0.0446 0.7500 0.1282
2 La 0.2500 0.5446 0.8718
3 La 0.2500 0.9554 0.8718
4 La 0.4554 0.7500 0.1282
5 La 0.5446 0.2500 0.8718
6 La 0.7500 0.0446 0.1282
7 La 0.7500 0.4554 0.1282
8 La 0.9554 0.2500 0.8718
9 Nd 0.2500 0.2500 0.8860
10 Nd 0.7500 0.7500 0.1140
11 Y 0.0890 0.0890 0.3437
12 Y 0.0890 0.4110 0.3437
13 Y 0.2500 0.7500 0.5000
14 Y 0.4110 0.0890 0.3437
15 Y 0.4110 0.4110 0.3437
16 Y 0.5890 0.5890 0.6563
17 Y 0.5890 0.9110 0.6563
18 Y 0.7500 0.2500 0.5000
19 Y 0.9110 0.5890 0.6563
20 Y 0.9110 0.9110 0.6563

---

Starting from a cell relaxed with PBE, the X-ray diffraction stick pattern of SmDy3YTm was simulated for Cu Kα, 1.54184 Å.

Most intense lines, 15° ≤ 2θ ≤ 90°, in order of rising 2θ:
2theta	d/Å	I_rel
24.35	3.656	20
28.96	3.083	15
29.38	3.040	17
31.21	2.866	100
31.32	2.856	34
32.41	2.763	31
32.54	2.752	29
37.47	2.400	18

Atomic structure:
a = 9.6833 Å, b = 9.6833 Å, c = 7.3116 Å
α = 90.33°, β = 90.33°, γ = 34.44°
Element x y z (fractional)
1 Sm 0.0389 0.0389 0.2524
2 Sm 0.9611 0.9611 0.7476
3 Dy 0.1710 0.1710 0.7448
4 Dy 0.2150 0.2150 0.2513
5 Dy 0.4773 0.4773 0.2559
6 Dy 0.5227 0.5227 0.7441
7 Dy 0.7850 0.7850 0.7487
8 Dy 0.8290 0.8290 0.2552
9 Y 0.3523 0.3523 0.9641
10 Y 0.6477 0.6477 0.0359
11 Tm 0.3513 0.3513 0.5408
12 Tm 0.6487 0.6487 0.4592

---

Starting from a cell relaxed with PBE, the X-ray diffraction stick pattern of Ba4TiN4 was simulated for Cu Kα, 1.54184 Å.

Most intense lines, 15° ≤ 2θ ≤ 90°, in order of rising 2θ:
2theta	d/Å	I_rel
28.34	3.149	73
28.50	3.132	100
28.68	3.113	97
28.96	3.084	70
29.03	3.076	46
31.02	2.883	82
32.90	2.723	71
35.50	2.529	37

Atomic structure:
a = 6.8281 Å, b = 6.9178 Å, c = 9.6722 Å
α = 72.38°, β = 80.34°, γ = 65.92°
Element x y z (fractional)
1 Ba 0.2154 0.0048 0.0626
2 Ba 0.2390 0.7269 0.4631
3 Ba 0.2782 0.0774 0.6524
4 Ba 0.2843 0.5329 0.8798
5 Ba 0.7157 0.4671 0.1202
6 Ba 0.7218 0.9226 0.3476
7 Ba 0.7610 0.2731 0.5369
8 Ba 0.7846 0.9952 0.9374
9 Ti 0.2349 0.3410 0.2553
10 Ti 0.7651 0.6590 0.7447
11 N 0.0484 0.1731 0.3179
12 N 0.0701 0.6418 0.1402
13 N 0.4095 0.3138 0.4108
14 N 0.4562 0.1918 0.1222
15 N 0.5438 0.8082 0.8778
16 N 0.5905 0.6862 0.5892
17 N 0.9299 0.3582 0.8598
18 N 0.9516 0.8269 0.6821

---

Starting from a cell relaxed with PBE, the X-ray diffraction stick pattern of Y2AlInO6 was simulated for Cu Kα, 1.54184 Å.

Most intense lines, 15° ≤ 2θ ≤ 90°, in order of rising 2θ:
2theta	d/Å	I_rel
16.93	5.236	15
17.85	4.969	15
30.10	2.969	100
34.25	2.618	33
49.22	1.851	23
50.65	1.802	26
58.79	1.571	29
82.36	1.171	14

Atomic structure:
a = 5.2356 Å, b = 5.2356 Å, c = 4.9691 Å
α = 90.00°, β = 90.00°, γ = 90.00°
Element x y z (fractional)
1 Y 0.0000 0.5000 0.0000
2 Y 0.5000 0.0000 0.0000
3 Al 0.0000 0.0000 0.6009
4 In 0.5000 0.5000 0.5699
5 O 0.0000 0.0000 0.2389
6 O 0.2365 0.2365 0.7363
7 O 0.2365 0.7635 0.7363
8 O 0.5000 0.5000 0.1575
9 O 0.7635 0.2365 0.7363
10 O 0.7635 0.7635 0.7363

---

Starting from a cell relaxed with PBE, the X-ray diffraction stick pattern of PmZnGaPd2 was simulated for Cu Kα, 1.54184 Å.

Most intense lines, 15° ≤ 2θ ≤ 90°, in order of rising 2θ:
2theta	d/Å	I_rel
30.80	2.903	97
33.62	2.665	48
34.51	2.599	75
36.38	2.470	24
36.60	2.455	19
41.53	2.174	100
46.79	1.942	58
65.54	1.424	25

Atomic structure:
a = 7.0840 Å, b = 7.0840 Å, c = 5.6600 Å
α = 90.00°, β = 90.00°, γ = 135.80°
Element x y z (fractional)
1 Pm 0.2500 0.7500 0.7712
2 Pm 0.7500 0.2500 0.2288
3 Zn 0.0000 0.0000 0.0000
4 Zn 0.5000 0.5000 0.0000
5 Ga 0.2500 0.2500 0.5000
6 Ga 0.7500 0.7500 0.5000
7 Pd 0.1446 0.8554 0.2940
8 Pd 0.3554 0.6446 0.2940
9 Pd 0.6446 0.3554 0.7060
10 Pd 0.8554 0.1446 0.7060

---

Starting from a cell relaxed with PBE, the X-ray diffraction stick pattern of K3LiP2S6 was simulated for Cu Kα, 1.54184 Å.

Most intense lines, 15° ≤ 2θ ≤ 90°, in order of rising 2θ:
2theta	d/Å	I_rel
18.06	4.913	66
21.07	4.217	58
25.53	3.489	36
25.76	3.459	28
31.45	2.845	96
31.83	2.812	28
36.58	2.456	100
52.45	1.745	40

Atomic structure:
a = 6.9788 Å, b = 6.9788 Å, c = 8.4346 Å
α = 90.00°, β = 90.00°, γ = 120.00°
Element x y z (fractional)
1 K 0.0000 0.0000 0.0000
2 K 0.3333 0.6667 0.6494
3 K 0.6667 0.3333 0.3506
4 Li 0.0000 0.0000 0.5000
5 P 0.3333 0.6667 0.2375
6 P 0.6667 0.3333 0.7625
7 S 0.1704 0.3408 0.2980
8 S 0.1704 0.8296 0.2980
9 S 0.3408 0.1704 0.7020
10 S 0.6592 0.8296 0.2980
11 S 0.8296 0.1704 0.7020
12 S 0.8296 0.6592 0.7020

---

Starting from a cell relaxed with PBE, the X-ray diffraction stick pattern of Ac4LaBi5 was simulated for Cu Kα, 1.54184 Å.

Most intense lines, 15° ≤ 2θ ≤ 90°, in order of rising 2θ:
2theta	d/Å	I_rel
25.99	3.429	100
37.08	2.424	80
45.84	1.980	30
53.45	1.714	14
60.35	1.534	27
60.41	1.532	13
66.84	1.400	30
84.86	1.143	12

Atomic structure:
a = 17.4680 Å, b = 17.4680 Å, c = 17.4680 Å
α = 164.04°, β = 164.04°, γ = 22.65°
Element x y z (fractional)
1 Ac 0.0992 0.0992 0.0000
2 Ac 0.3007 0.3007 0.0000
3 Ac 0.6993 0.6993 0.0000
4 Ac 0.9008 0.9008 0.0000
5 La 0.5000 0.5000 0.0000
6 Bi 0.0000 0.0000 0.0000
7 Bi 0.1999 0.1999 0.0000
8 Bi 0.4020 0.4020 0.0000
9 Bi 0.5980 0.5980 0.0000
10 Bi 0.8001 0.8001 0.0000

---

Starting from a cell relaxed with PBE, the X-ray diffraction stick pattern of TcAs5 was simulated for Cu Kα, 1.54184 Å.

Most intense lines, 15° ≤ 2θ ≤ 90°, in order of rising 2θ:
2theta	d/Å	I_rel
15.46	5.730	66
32.96	2.717	31
36.21	2.481	41
36.83	2.441	100
37.19	2.418	43
46.03	1.972	47
46.67	1.946	57
47.60	1.910	34

Atomic structure:
a = 6.5879 Å, b = 6.5879 Å, c = 7.8009 Å
α = 110.14°, β = 110.14°, γ = 27.07°
Element x y z (fractional)
1 Tc 0.0000 0.0000 0.0000
2 As 0.0092 0.0092 0.3328
3 As 0.3393 0.3393 0.9835
4 As 0.3717 0.3717 0.6847
5 As 0.5809 0.5809 0.8142
6 As 0.6445 0.6445 0.2337

---

Starting from a cell relaxed with PBE, the X-ray diffraction stick pattern of Ba2SO5 was simulated for Cu Kα, 1.54184 Å.

Most intense lines, 15° ≤ 2θ ≤ 90°, in order of rising 2θ:
2theta	d/Å	I_rel
21.20	4.190	66
23.30	3.818	21
30.16	2.963	47
31.71	2.822	100
38.46	2.341	64
43.18	2.095	31
48.58	1.874	20
54.55	1.682	35

Atomic structure:
a = 5.6688 Å, b = 5.6688 Å, c = 5.6688 Å
α = 116.97°, β = 116.97°, γ = 95.33°
Element x y z (fractional)
1 Ba 0.0000 0.5000 0.5000
2 Ba 0.5000 0.0000 0.5000
3 S 0.2266 0.2266 0.0000
4 O 0.0256 0.0256 0.0000
5 O 0.0808 0.0808 0.6143
6 O 0.0808 0.4664 0.0000
7 O 0.4664 0.0808 0.0000
8 O 0.4664 0.4664 0.3856

---

Starting from a cell relaxed with PBE, the X-ray diffraction stick pattern of In3Hg3Te was simulated for Cu Kα, 1.54184 Å.

Most intense lines, 15° ≤ 2θ ≤ 90°, in order of rising 2θ:
2theta	d/Å	I_rel
28.14	3.171	65
29.45	3.033	52
29.63	3.015	66
31.45	2.845	100
33.16	2.702	56
35.29	2.543	40
35.61	2.521	71
39.76	2.267	43

Atomic structure:
a = 8.9361 Å, b = 9.5183 Å, c = 9.6730 Å
α = 90.00°, β = 90.00°, γ = 90.00°
Element x y z (fractional)
1 In 0.0500 0.2004 0.1695
2 In 0.1284 0.4892 0.7341
3 In 0.2082 0.0737 0.6050
4 In 0.2918 0.9263 0.1050
5 In 0.3716 0.5108 0.2341
6 In 0.4500 0.7996 0.6695
7 In 0.5500 0.2996 0.8305
8 In 0.6284 0.0108 0.2659
9 In 0.7082 0.4263 0.3950
10 In 0.7918 0.5737 0.8950
11 In 0.8716 0.9892 0.7659
12 In 0.9500 0.7004 0.3305
13 Hg 0.0643 0.4001 0.4247
14 Hg 0.0850 0.5412 0.0661
15 Hg 0.1445 0.8045 0.8168
16 Hg 0.3555 0.1955 0.3168
17 Hg 0.4150 0.4588 0.5661
18 Hg 0.4357 0.5999 0.9247
19 Hg 0.5643 0.0999 0.5753
20 Hg 0.5850 0.9588 0.9339
21 Hg 0.6445 0.6955 0.1832
22 Hg 0.8555 0.3045 0.6832
23 Hg 0.9150 0.0412 0.4339
24 Hg 0.9357 0.9001 0.0753
25 Te 0.2297 0.2255 0.8934
26 Te 0.2703 0.7745 0.3934
27 Te 0.7297 0.2745 0.1066
28 Te 0.7703 0.7255 0.6066